# 1
Starting from a GGA+U-relaxed structure, the powder X-ray diffraction pattern of K2Dy2MoO6 was simulated for Cu Kα X-rays.
Peak positions follow from Bragg's law for the DFT cell and can differ from measured ones.

Top 10 peaks for 10° ≤ 2θ ≤ 90°, low angle first:
two_theta, d/Å, I_rel
13.97, 6.339, 100
28.16, 3.169, 25
30.81, 2.902, 11
31.12, 2.874, 20
31.72, 2.821, 16
32.28, 2.773, 30
36.12, 2.486, 67
45.57, 1.991, 12
49.72, 1.834, 15
54.23, 1.691, 14

Unit cell a=5.810 b=5.810 c=6.612 alpha=98.28 beta=98.28 gamma=119.15
Sites, in units of the cell vectors:
K1 0.163 0.837 0.000
K2 0.837 0.163 0.000
Dy1 0.337 0.663 0.500
Dy2 0.663 0.337 0.500
Mo1 0.000 0.000 0.500
O1 0.051 0.362 0.670
O2 0.259 0.259 0.322
O3 0.362 0.051 0.670
O4 0.638 0.949 0.330
O5 0.741 0.741 0.678
O6 0.949 0.638 0.330

# 2
Starting from a GGA+U-relaxed structure, the powder X-ray diffraction pattern of K3DyMo2O8 was simulated for Cu Kα X-rays.
Peak positions follow from Bragg's law for the DFT cell and can differ from measured ones.

Top 10 peaks for 10° ≤ 2θ ≤ 90°, low angle first:
two_theta, d/Å, I_rel
11.41, 7.754, 26
20.27, 4.382, 77
28.50, 3.132, 83
29.12, 3.067, 100
41.20, 2.191, 45
46.74, 1.943, 17
51.24, 1.783, 31
51.63, 1.770, 19
56.13, 1.639, 17
60.37, 1.533, 17

Unit cell a=6.133 b=6.133 c=7.754 alpha=90.00 beta=90.00 gamma=120.00
Sites, in units of the cell vectors:
K1 0.000 0.000 0.000
K2 0.333 0.667 0.665
K3 0.667 0.333 0.335
Dy1 0.000 0.000 0.500
Mo1 0.333 0.667 0.226
Mo2 0.667 0.333 0.774
O1 0.171 0.342 0.325
O2 0.171 0.829 0.325
O3 0.333 0.667 0.994
O4 0.342 0.171 0.675
O5 0.658 0.829 0.325
O6 0.667 0.333 0.006
O7 0.829 0.171 0.675
O8 0.829 0.658 0.675